This entry pairs a crystal structure of Rb3MgHg2F9 with its calculated powder diffraction line list. Radiation: Cu Kα. Structure: a PBE-relaxed structure.

Cell and atoms:
```
data_Rb3MgHg2F9
_chemical_formula_sum 'Rb3 Mg1 Hg2 F9'
_cell_length_a 6.2710
_cell_length_b 6.2710
_cell_length_c 7.7118
_cell_angle_alpha 90.00
_cell_angle_beta 90.00
_cell_angle_gamma 120.00
_space_group_name_H-M_alt 'P -3 m 1'
_space_group_IT_number 164
_space_group_name_Hall '-P 3 2"'
loop_
_atom_site_label
_atom_site_fract_x
_atom_site_fract_y
_atom_site_fract_z
_atom_site_occupancy
Rb1 0.0000 0.0000 0.0000 1
Rb2 0.3333 0.6667 0.6733 1
Mg1 0.0000 0.0000 0.5000 1
Hg1 0.3333 0.6667 0.1875 1
F1 0.0000 0.5000 0.0000 1
F2 0.1530 0.3060 0.3497 1
```

Principal peaks in the range 5 to 70 degrees two-theta, most intense first:
Position (°2θ), d/Å, intensity, h k l
28.4, 3.140, 100, 1 1 0
40.6, 2.220, 35, 2 0 2
50.4, 1.811, 31, 3 0 0
20.0, 4.440, 26, 1 0 1
50.2, 1.817, 13, 1 0 4
16.3, 5.431, 12, 1 0 0
58.7, 1.572, 12, 0 2 4
58.9, 1.568, 11, 2 2 0
66.5, 1.405, 11, 2 1 4
37.0, 2.433, 10, 1 1 2

---

This entry pairs a crystal structure of LiZnIO4 with its calculated powder diffraction line list. Radiation: Cu Kα. Structure: a PBE-relaxed structure.

Cell and atoms:
```
data_LiZnIO4
_chemical_formula_sum 'Li4 Zn4 I4 O16'
_cell_length_a 5.9089
_cell_length_b 10.3142
_cell_length_c 7.5177
_cell_angle_alpha 90.00
_cell_angle_beta 90.00
_cell_angle_gamma 90.00
_space_group_name_H-M_alt 'A m a 2'
_space_group_IT_number 40
_space_group_name_Hall 'A 2 -2a'
loop_
_atom_site_label
_atom_site_fract_x
_atom_site_fract_y
_atom_site_fract_z
_atom_site_occupancy
Li1 0.2500 0.0914 0.0000 1
Zn1 0.0000 0.0000 0.6484 1
I1 0.2500 0.2605 0.4191 1
O1 0.0077 0.3014 0.5599 1
O2 0.2500 0.0773 0.5079 1
O3 0.2500 0.4504 0.3206 1
```

Principal peaks in the range 5 to 70 degrees two-theta, most intense first:
Position (°2θ), d/Å, intensity, h k l
21.0, 4.236, 100, 1 1 1
14.6, 6.075, 39, 0 1 1
29.4, 3.038, 37, 0 2 2
38.8, 2.323, 27, 2 0 2
32.4, 2.764, 19, 1 3 1
53.1, 1.726, 16, 2 4 2
28.5, 3.127, 16, 0 3 1
35.0, 2.564, 15, 2 2 0
40.0, 2.251, 15, 1 1 3
34.8, 2.579, 15, 0 4 0

---

This entry pairs a crystal structure of Nb4TcRu with its calculated powder diffraction line list. Radiation: Cu Kα. Structure: a PBE-relaxed structure.

Cell and atoms:
```
data_Nb4TcRu
_chemical_formula_sum 'Nb4 Tc1 Ru1'
_cell_length_a 4.3583
_cell_length_b 4.3583
_cell_length_c 6.2110
_cell_angle_alpha 90.00
_cell_angle_beta 90.00
_cell_angle_gamma 90.00
_space_group_name_H-M_alt 'P 4/m m m'
_space_group_IT_number 123
_space_group_name_Hall '-P 4 2'
loop_
_atom_site_label
_atom_site_fract_x
_atom_site_fract_y
_atom_site_fract_z
_atom_site_occupancy
Nb1 0.0000 0.5000 0.2495 1
Tc1 0.0000 0.0000 0.0000 1
Ru1 0.5000 0.5000 0.5000 1
```

Principal peaks in the range 5 to 70 degrees two-theta, most intense first:
Position (°2θ), d/Å, intensity, h k l
41.3, 2.187, 100, 1 1 2
41.4, 2.179, 49, 2 0 0
25.0, 3.568, 47, 1 0 1
60.0, 1.541, 16, 2 2 0
49.0, 1.860, 15, 2 1 1
29.0, 3.082, 12, 1 1 0
59.5, 1.553, 8, 0 0 4
48.7, 1.870, 7, 1 0 3
28.7, 3.106, 6, 0 0 2
65.8, 1.419, 6, 2 1 3

---

This entry pairs a crystal structure of Y3AuC with its calculated powder diffraction line list. Radiation: Cu Kα. Structure: a PBE-relaxed structure.

Cell and atoms:
```
data_Y3AuC
_chemical_formula_sum 'Y12 Au4 C4'
_cell_length_a 8.7255
_cell_length_b 3.6590
_cell_length_c 14.3377
_cell_angle_alpha 90.00
_cell_angle_beta 90.00
_cell_angle_gamma 90.00
_space_group_name_H-M_alt 'P n m a'
_space_group_IT_number 62
_space_group_name_Hall '-P 2ac 2n'
loop_
_atom_site_label
_atom_site_fract_x
_atom_site_fract_y
_atom_site_fract_z
_atom_site_occupancy
Y1 0.0035 0.2500 0.1012 1
Y2 0.1776 0.2500 0.5283 1
Y3 0.1907 0.7500 0.3094 1
Au1 0.0963 0.7500 0.6882 1
C1 0.1629 0.2500 0.9539 1
```

Principal peaks in the range 5 to 70 degrees two-theta, most intense first:
Position (°2θ), d/Å, intensity, h k l
32.5, 2.755, 100, 1 1 3
34.3, 2.611, 57, 2 1 2
32.9, 2.724, 45, 1 0 5
21.2, 4.182, 43, 2 0 1
36.6, 2.457, 31, 1 1 4
60.1, 1.539, 23, 5 1 2
31.4, 2.850, 22, 3 0 1
39.9, 2.258, 22, 3 0 4
49.8, 1.830, 18, 0 2 0
25.1, 3.545, 17, 0 1 1

---

This entry pairs a crystal structure of PmSm4Y3Se8 with its calculated powder diffraction line list. Radiation: Cu Kα. Structure: a PBE-relaxed structure.

Cell and atoms:
```
data_PmSm4Y3Se8
_chemical_formula_sum 'Pm3 Sm12 Y9 Se24'
_cell_length_a 8.2749
_cell_length_b 8.2749
_cell_length_c 20.3825
_cell_angle_alpha 90.00
_cell_angle_beta 90.00
_cell_angle_gamma 120.00
_space_group_name_H-M_alt 'R -3 m'
_space_group_IT_number 166
_space_group_name_Hall '-R 3 2"'
loop_
_atom_site_label
_atom_site_fract_x
_atom_site_fract_y
_atom_site_fract_z
_atom_site_occupancy
Pm1 0.0000 0.0000 0.0000 1
Sm1 0.0000 0.0000 0.5000 1
Sm2 0.0000 0.5000 0.5000 1
Y1 0.0000 0.5000 0.0000 1
Se1 0.0000 0.0000 0.2528 1
Se2 0.0048 0.5024 0.2517 1
```

Principal peaks in the range 5 to 70 degrees two-theta, most intense first:
Position (°2θ), d/Å, intensity, h k l
30.5, 2.931, 100, 0 2 4
43.6, 2.076, 37, 2 0 8
43.8, 2.069, 37, 2 2 0
54.3, 1.690, 19, 4 0 4
63.5, 1.466, 12, 0 4 8
26.4, 3.380, 8, 2 0 2
54.0, 1.699, 7, 0 0 12
51.8, 1.766, 4, 2 2 6
26.2, 3.397, 3, 0 0 6
13.0, 6.787, 2, 0 0 3

---

This entry pairs a crystal structure of Pu4PaPt5 with its calculated powder diffraction line list. Radiation: Cu Kα. Structure: a PBE-relaxed structure.

Cell and atoms:
```
data_Pu4PaPt5
_chemical_formula_sum 'Pu8 Pa2 Pt10'
_cell_length_a 15.1558
_cell_length_b 5.1899
_cell_length_c 5.8125
_cell_angle_alpha 90.00
_cell_angle_beta 108.28
_cell_angle_gamma 90.00
_space_group_name_H-M_alt 'C 1 2 1'
_space_group_IT_number 5
_space_group_name_Hall 'C 2y'
loop_
_atom_site_label
_atom_site_fract_x
_atom_site_fract_y
_atom_site_fract_z
_atom_site_occupancy
Pu1 0.1052 0.0000 0.4561 1
Pu2 0.2153 0.4971 0.7855 1
Pa1 0.0000 0.3826 0.0000 1
Pt1 0.0000 0.4991 0.5000 1
Pt2 0.0829 0.8778 0.9232 1
Pt3 0.1882 0.4912 0.2631 1
```

Principal peaks in the range 5 to 70 degrees two-theta, most intense first:
Position (°2θ), d/Å, intensity, h k l
35.7, 2.517, 100, 5 1 0
36.4, 2.466, 85, 3 1 -2
38.4, 2.344, 55, 2 0 2
34.6, 2.595, 42, 0 2 0
52.6, 1.739, 21, 2 2 2
63.2, 1.471, 17, 8 2 -2
51.2, 1.785, 14, 8 0 -2
67.2, 1.393, 11, 7 1 2
34.9, 2.572, 11, 5 1 -1
62.1, 1.494, 11, 5 3 -1

---

Repeat the fourth record exactly.
This entry pairs a crystal structure of Y3AuC with its calculated powder diffraction line list. Radiation: Cu Kα. Structure: a PBE-relaxed structure.

Cell and atoms:
```
data_Y3AuC
_chemical_formula_sum 'Y12 Au4 C4'
_cell_length_a 8.7255
_cell_length_b 3.6590
_cell_length_c 14.3377
_cell_angle_alpha 90.00
_cell_angle_beta 90.00
_cell_angle_gamma 90.00
_space_group_name_H-M_alt 'P n m a'
_space_group_IT_number 62
_space_group_name_Hall '-P 2ac 2n'
loop_
_atom_site_label
_atom_site_fract_x
_atom_site_fract_y
_atom_site_fract_z
_atom_site_occupancy
Y1 0.0035 0.2500 0.1012 1
Y2 0.1776 0.2500 0.5283 1
Y3 0.1907 0.7500 0.3094 1
Au1 0.0963 0.7500 0.6882 1
C1 0.1629 0.2500 0.9539 1
```

Principal peaks in the range 5 to 70 degrees two-theta, most intense first:
Position (°2θ), d/Å, intensity, h k l
32.5, 2.755, 100, 1 1 3
34.3, 2.611, 57, 2 1 2
32.9, 2.724, 45, 1 0 5
21.2, 4.182, 43, 2 0 1
36.6, 2.457, 31, 1 1 4
60.1, 1.539, 23, 5 1 2
31.4, 2.850, 22, 3 0 1
39.9, 2.258, 22, 3 0 4
49.8, 1.830, 18, 0 2 0
25.1, 3.545, 17, 0 1 1